# 1
Ac7La3Nd: simulated powder diffraction line list (λ = 1.5418 Å (Cu Kα)), based on the PBE geometry in Alexandria.
Lines closer than 0.1° are merged.

Top 12 peaks for 2θ = 5–70°, low angle first:
2θ/deg  I_rel
23.58  22
25.49  18
26.37  16
27.50  70
28.69  32
29.66  82
30.09  100
36.54  15
40.16  26
49.99  20
50.27  21
55.80  20

Cell and atoms:
Cell lengths 9.189, 9.189, 6.486 Å; angles 110.58, 110.58, 85.26 degrees
Fractional positions:
Ac1 0.000 0.000 0.000
Ac2 0.103 0.516 0.309
Ac3 0.294 0.294 0.794
Ac4 0.484 0.897 0.691
Ac5 0.516 0.103 0.309
Ac6 0.706 0.706 0.206
Ac7 0.897 0.484 0.691
La1 0.291 0.709 0.000
La2 0.500 0.500 0.500
La3 0.709 0.291 0.000
Nd1 0.000 0.000 0.500

=====

# 2
Pr2Cu2Rh: simulated powder diffraction line list (λ = 1.5418 Å (Cu Kα)), based on the PBE geometry in Alexandria.
Lines closer than 0.1° are merged.

Top 12 peaks for 2θ = 5–70°, low angle first:
2θ/deg  I_rel
23.98  26
32.00  28
32.17  100
33.41  49
33.53  88
35.42  41
35.95  25
39.92  73
43.98  49
45.69  21
56.34  20
65.17  24

Cell and atoms:
Cell lengths 5.746, 5.746, 11.404 Å; angles 115.31, 115.31, 41.99 degrees
Fractional positions:
Pr1 0.056 0.056 0.358
Pr2 0.202 0.202 0.116
Pr3 0.798 0.798 0.884
Pr4 0.944 0.944 0.642
Cu1 0.377 0.377 0.422
Cu2 0.486 0.486 0.108
Cu3 0.514 0.514 0.892
Cu4 0.623 0.623 0.578
Rh1 0.270 0.270 0.688
Rh2 0.730 0.730 0.312

=====

# 3
RbPa3O8: simulated powder diffraction line list (λ = 1.5418 Å (Cu Kα)), based on the PBE geometry in Alexandria.
Lines closer than 0.1° are merged.

Top 12 peaks for 2θ = 5–70°, low angle first:
2θ/deg  I_rel
11.04  100
19.83  20
22.18  18
27.73  25
28.65  52
30.79  36
36.53  28
37.56  13
48.46  14
50.76  15
52.11  12
65.28  11

Cell and atoms:
Cell lengths 6.231, 6.231, 8.015 Å; angles 90.00, 90.00, 120.00 degrees
Fractional positions:
Rb1 0.000 0.000 0.000
Pa1 0.000 0.000 0.500
Pa2 0.333 0.667 0.579
Pa3 0.667 0.333 0.421
O1 0.041 0.341 0.394
O2 0.301 0.959 0.394
O3 0.333 0.667 0.815
O4 0.341 0.301 0.606
O5 0.659 0.699 0.394
O6 0.667 0.333 0.185
O7 0.699 0.041 0.606
O8 0.959 0.659 0.606

=====

# 4
Sr8GaPt2: simulated powder diffraction line list (λ = 1.5418 Å (Cu Kα)), based on the PBE geometry in Alexandria.
Lines closer than 0.1° are merged.

Top 12 peaks for 2θ = 5–70°, low angle first:
2θ/deg  I_rel
17.62  99
18.13  90
20.97  69
25.39  33
28.52  50
31.38  56
31.68  23
35.67  62
36.74  100
41.02  23
47.16  74
65.48  21

Cell and atoms:
Cell lengths 9.784, 9.784, 6.259 Å; angles 90.00, 90.00, 120.00 degrees
Fractional positions:
Sr1 0.162 0.326 0.249
Sr2 0.164 0.838 0.249
Sr3 0.326 0.164 0.751
Sr4 0.333 0.667 0.758
Sr5 0.667 0.333 0.242
Sr6 0.674 0.836 0.249
Sr7 0.836 0.162 0.751
Sr8 0.838 0.674 0.751
Ga1 0.000 0.000 0.500
Pt1 0.333 0.667 0.263
Pt2 0.667 0.333 0.737